# Na4TlCd4
Calculated powder X-ray diffraction pattern, Cu Kα X-rays. Input: a cell relaxed with GGA-PBE.
Kinematic intensities with the Lorentz-polarization factor, no thermal factor.

Crystal structure
a = 7.4402 Å, b = 7.4402 Å, c = 7.4402 Å
α = 95.70°, β = 95.70°, γ = 143.26°
Fractional positions:
Na  0.1676  0.1676  0.3351
Na  0.1676  0.8324  0.0000
Na  0.8324  0.1676  0.0000
Na  0.8324  0.8324  0.6649
Tl  0.5000  0.5000  0.0000
Cd  0.1541  0.5000  0.6541
Cd  0.5000  0.1541  0.6541
Cd  0.5000  0.8459  0.3459
Cd  0.8459  0.5000  0.3459

Largest 12 diffraction maxima, by intensity, 10° ≤ 2θ ≤ 80°:
- 2.714 Å, 33.0°, intensity 100
- 4.993 Å, 17.8°, intensity 35
- 4.245 Å, 20.9°, intensity 34
- 2.354 Å, 38.2°, intensity 33
- 1.419 Å, 65.8°, intensity 24
- 1.661 Å, 55.3°, intensity 22
- 2.385 Å, 37.7°, intensity 21
- 2.345 Å, 38.4°, intensity 17
- 3.158 Å, 28.3°, intensity 16
- 1.415 Å, 66.0°, intensity 13
- 1.837 Å, 49.6°, intensity 12
- 1.664 Å, 55.2°, intensity 11



# Na2Tl12Cd5
Calculated powder X-ray diffraction pattern, Cu Kα X-rays. Input: a cell relaxed with GGA-PBE.
Kinematic intensities with the Lorentz-polarization factor, no thermal factor.

Crystal structure
a = 10.4087 Å, b = 10.4087 Å, c = 6.1909 Å
α = 103.49°, β = 103.49°, γ = 59.54°
Fractional positions:
Na  0.1955  0.8045  0.0000
Na  0.8045  0.1955  0.0000
Tl  0.1272  0.4871  0.8156
Tl  0.1440  0.1440  0.9671
Tl  0.1540  0.6494  0.3948
Tl  0.3506  0.8460  0.6052
Tl  0.4750  0.4750  0.7360
Tl  0.4871  0.1272  0.8156
Tl  0.5129  0.8728  0.1844
Tl  0.5250  0.5250  0.2640
Tl  0.6494  0.1540  0.3948
Tl  0.8460  0.3506  0.6052
Tl  0.8560  0.8560  0.0329
Tl  0.8728  0.5129  0.1844
Cd  0.0000  0.0000  0.5000
Cd  0.1780  0.1780  0.4797
Cd  0.3106  0.3106  0.2770
Cd  0.6894  0.6894  0.7230
Cd  0.8220  0.8220  0.5203

Largest 12 diffraction maxima, by intensity, 10° ≤ 2θ ≤ 80°:
- 2.681 Å, 33.4°, intensity 100
- 2.650 Å, 33.8°, intensity 65
- 2.557 Å, 35.1°, intensity 55
- 2.962 Å, 30.2°, intensity 48
- 2.717 Å, 33.0°, intensity 46
- 2.938 Å, 30.4°, intensity 39
- 2.584 Å, 34.7°, intensity 38
- 2.811 Å, 31.8°, intensity 34
- 2.530 Å, 35.5°, intensity 30
- 1.628 Å, 56.5°, intensity 24
- 3.008 Å, 29.7°, intensity 21
- 3.086 Å, 28.9°, intensity 19



- What is the formula in the second record?
  Na2Tl12Cd5



- Which formula does entry 2 have?
  Na2Tl12Cd5



Copy entry 2 word for word.
# Na2Tl12Cd5
Calculated powder X-ray diffraction pattern, Cu Kα X-rays. Input: a cell relaxed with GGA-PBE.
Kinematic intensities with the Lorentz-polarization factor, no thermal factor.

Crystal structure
a = 10.4087 Å, b = 10.4087 Å, c = 6.1909 Å
α = 103.49°, β = 103.49°, γ = 59.54°
Fractional positions:
Na  0.1955  0.8045  0.0000
Na  0.8045  0.1955  0.0000
Tl  0.1272  0.4871  0.8156
Tl  0.1440  0.1440  0.9671
Tl  0.1540  0.6494  0.3948
Tl  0.3506  0.8460  0.6052
Tl  0.4750  0.4750  0.7360
Tl  0.4871  0.1272  0.8156
Tl  0.5129  0.8728  0.1844
Tl  0.5250  0.5250  0.2640
Tl  0.6494  0.1540  0.3948
Tl  0.8460  0.3506  0.6052
Tl  0.8560  0.8560  0.0329
Tl  0.8728  0.5129  0.1844
Cd  0.0000  0.0000  0.5000
Cd  0.1780  0.1780  0.4797
Cd  0.3106  0.3106  0.2770
Cd  0.6894  0.6894  0.7230
Cd  0.8220  0.8220  0.5203

Largest 12 diffraction maxima, by intensity, 10° ≤ 2θ ≤ 80°:
- 2.681 Å, 33.4°, intensity 100
- 2.650 Å, 33.8°, intensity 65
- 2.557 Å, 35.1°, intensity 55
- 2.962 Å, 30.2°, intensity 48
- 2.717 Å, 33.0°, intensity 46
- 2.938 Å, 30.4°, intensity 39
- 2.584 Å, 34.7°, intensity 38
- 2.811 Å, 31.8°, intensity 34
- 2.530 Å, 35.5°, intensity 30
- 1.628 Å, 56.5°, intensity 24
- 3.008 Å, 29.7°, intensity 21
- 3.086 Å, 28.9°, intensity 19